No. 1
Structure and simulated powder diffraction line list of TbGa2Co3 (DFT lattice parameters and positions (PBE); Cu Kα (weighted mean of Kα1 and Kα2)).
No peak broadening, texture or thermal motion is included.

Top 10 peaks for 2θ from 10° to 90°, low angle first:
two_theta	I/Imax	index
24.9	260	1 0 1
32.4	845	2 0 1
35.6	465	3 0 0
38.5	1000	2 1 1
41.3	771	2 2 0
42.2	790	3 0 1
44.7	571	0 0 2
47.2	415	2 2 1
58.4	221	3 0 2
62.5	437	2 2 2

Structural model:
Lattice parameters (Å, degrees): 8.7475 8.7475 4.0510 90.00 90.00 120.00
Space group P-62m (No. 189)
Symmetry-distinct sites (fractional):
Tb: 0.0000 0.0000 0.0000
Tb: 0.3333 0.6667 0.5000
Ga: 0.0000 0.2704 0.5000
Ga: 0.0000 0.5042 0.0000
Co: 0.0000 0.7041 0.5000
Co: 0.1801 0.8191 0.0000

---

No. 2
Structure and simulated powder diffraction line list of CsLa2Ti2NbO10 (DFT lattice parameters and positions (PBE); Cu Kα (weighted mean of Kα1 and Kα2)).
No peak broadening, texture or thermal motion is included.

Top 10 peaks for 2θ from 10° to 90°, low angle first:
two_theta	I/Imax	index
17.0	280	0 0 3
28.4	1000	1 1 -3
28.6	890	1 1 3
32.5	977	2 0 0
36.8	180	0 2 3
40.2	147	0 0 7
46.6	574	2 2 0
55.4	169	3 1 -3
55.6	168	1 3 3
68.0	225	0 4 0

Structural model:
Lattice parameters (Å, degrees): 5.5156 5.5203 15.6907 90.00 90.56 90.00
Space group Cm (No. 8)
Symmetry-distinct sites (fractional):
Cs: 0.0000 0.0000 0.0000
La: 0.4926 0.5000 0.6632
La: 0.4965 0.5000 0.3815
Ti: 0.0148 0.5000 0.5118
Ti: 0.4994 0.0000 0.7935
Nb: 0.4991 0.0000 0.2292
O: 0.0007 0.5000 0.9017
O: 0.0094 0.5000 0.6306
O: 0.0117 0.5000 0.3821
O: 0.2501 0.2495 0.7579
O: 0.2527 0.2508 0.2610
O: 0.2886 0.2632 0.5023
O: 0.4987 0.0000 0.1151

---

No. 3
Structure and simulated powder diffraction line list of Ti2N2O (DFT lattice parameters and positions (PBE); Cu Kα (weighted mean of Kα1 and Kα2)).
No peak broadening, texture or thermal motion is included.

Top 10 peaks for 2θ from 10° to 90°, low angle first:
two_theta	I/Imax	index
22.9	288	0 1 1
32.7	1000	1 1 -3
32.7	336	-3 1 1
37.9	185	2 2 -2
44.7	85	2 1 1
44.8	91	-4 1 2
54.6	88	0 0 4
54.7	352	4 0 -4
65.1	121	3 3 -5
65.3	117	5 1 -3

Structural model:
Lattice parameters (Å, degrees): 8.2066 8.2117 8.2320 109.49 109.43 109.37
Space group P1 (No. 1)
Symmetry-distinct sites (fractional):
Ti: 0.0000 0.0000 0.0000
Ti: 0.0012 0.5173 0.5070
Ti: 0.0329 0.8041 0.2448
Ti: 0.2000 0.2566 0.4525
Ti: 0.2369 0.9658 0.7011
Ti: 0.2433 0.4569 0.2032
Ti: 0.2838 0.7541 0.0341
Ti: 0.4422 0.7050 0.7336
Ti: 0.4905 0.0172 0.4941
Ti: 0.4897 0.4944 0.9821
Ti: 0.5332 0.2921 0.2474
Ti: 0.7014 0.2673 0.9553
Ti: 0.7428 0.5419 0.7862
Ti: 0.7541 0.0548 0.2972
Ti: 0.7956 0.7541 0.5350
Ti: 0.9603 0.2209 0.7489
N: 0.0356 0.7738 0.9869
N: 0.0384 0.0149 0.7681
N: 0.2186 0.4673 0.9497
N: 0.2195 0.7384 0.7690
N: 0.2316 0.5197 0.4539
N: 0.2655 0.2299 0.2235
N: 0.2707 0.0553 0.5041
N: 0.4464 0.2329 0.9559
N: 0.4537 0.4586 0.7231
N: 0.4877 0.0469 0.2640
N: 0.7260 0.2761 0.7195
N: 0.7567 0.4970 0.5327
N: 0.7692 0.5435 0.0465
N: 0.9383 0.9939 0.2173
N: 0.9797 0.7305 0.4426
N: 0.9989 0.2788 0.5426
O: 0.2620 0.7321 0.2710
O: 0.5018 0.9610 0.7262
O: 0.5327 0.5588 0.2730
O: 0.5425 0.7813 0.0358
O: 0.7164 0.7822 0.7631
O: 0.7163 0.9503 0.4804
O: 0.7675 0.2659 0.2158
O: 0.9531 0.2447 0.0095

---

No. 4
Structure and simulated powder diffraction line list of LiPF6 (DFT lattice parameters and positions (PBE); Cu Kα (weighted mean of Kα1 and Kα2)).
No peak broadening, texture or thermal motion is included.

Top 10 peaks for 2θ from 10° to 90°, low angle first:
two_theta	I/Imax	index
20.7	270	0 0 3
21.6	716	1 0 1
24.7	1000	0 1 2
41.7	508	2 -1 3
42.2	87	0 0 6
50.7	238	0 2 4
56.4	296	2 -1 6
57.9	77	3 -2 2
67.6	112	3 -2 5
79.9	74	1 3 1

Structural model:
Lattice parameters (Å, degrees): 5.0219 5.0219 12.8566 90.00 90.00 120.00
Space group R-3 (No. 148, hexagonal axes)
Symmetry-distinct sites (fractional):
Li: 0.0000 0.0000 0.0000
P: 0.0000 0.0000 0.5000
F: 0.0431 0.4341 0.2401

---

No. 5
Structure and simulated powder diffraction line list of MgGeH12O6F6 (DFT lattice parameters and positions (PBE); Cu Kα (weighted mean of Kα1 and Kα2)).
No peak broadening, texture or thermal motion is included.

Top 10 peaks for 2θ from 10° to 90°, low angle first:
two_theta	I/Imax	index
13.5	197	1 0 0
13.9	387	0 1 1
18.0	1000	1 1 -1
18.2	474	0 2 0
20.7	540	1 1 1
21.1	282	0 0 2
32.9	261	2 2 0
33.4	202	1 3 1
33.7	218	1 1 -3
46.4	145	2 4 0

Structural model:
Lattice parameters (Å, degrees): 6.6770 9.7419 8.5618 90.00 100.30 90.00
Space group P2_1/c (No. 14)
Symmetry-distinct sites (fractional):
Mg: 0.0000 0.0000 0.0000
Ge: 0.5000 0.0000 0.5000
H: 0.0362 0.0592 0.3175
H: 0.1988 0.5281 0.2411
H: 0.2496 0.2283 0.0339
H: 0.2523 0.6698 0.7010
H: 0.2559 0.7266 0.5278
H: 0.3636 0.1107 0.1435
O: 0.0655 0.5310 0.2741
O: 0.1838 0.6650 0.5898
O: 0.2490 0.1297 0.0573
F: 0.2589 0.0954 0.4674
F: 0.3669 0.6533 0.9084
F: 0.4497 0.5553 0.1945

---

No. 6
Structure and simulated powder diffraction line list of CeLuAl4 (DFT lattice parameters and positions (PBE); Cu Kα (weighted mean of Kα1 and Kα2)).
No peak broadening, texture or thermal motion is included.

Top 10 peaks for 2θ from 10° to 90°, low angle first:
two_theta	I/Imax	index
19.6	640	1 1 1
32.2	999	2 2 0
38.0	1000	3 1 1
50.6	167	3 3 1
57.4	387	4 2 2
61.3	329	5 1 1
67.4	214	4 4 0
70.9	122	5 3 1
76.6	166	6 2 0
80.0	115	5 3 3

Structural model:
Lattice parameters (Å, degrees): 7.8633 7.8633 7.8633 90.00 90.00 90.00
Space group F-43m (No. 216)
Symmetry-distinct sites (fractional):
Ce: 0.0000 0.0000 0.0000
Lu: 0.2500 0.2500 0.2500
Al: 0.1253 0.1253 0.6253

---

No. 7
Structure and simulated powder diffraction line list of Sm2Ge5Pd3 (DFT lattice parameters and positions (PBE); Cu Kα (weighted mean of Kα1 and Kα2)).
No peak broadening, texture or thermal motion is included.

Top 10 peaks for 2θ from 10° to 90°, low angle first:
two_theta	I/Imax	index
28.9	163	0 0 2
33.3	1000	3 2 1
33.8	824	2 0 2
34.4	712	2 4 0
41.9	965	0 4 2
48.9	311	5 2 1
54.1	287	3 2 3
54.9	205	3 6 1
59.9	186	0 0 4
70.9	192	2 4 4

Structural model:
Lattice parameters (Å, degrees): 10.3336 12.0609 6.1784 90.00 90.00 90.00
Space group Ibam (No. 72)
Symmetry-distinct sites (fractional):
Sm: 0.2324 0.1304 0.0000
Ge: 0.0000 0.0000 0.2500
Ge: 0.0000 0.2727 0.2500
Ge: 0.1562 0.3936 0.0000
Pd: 0.0000 0.5000 0.2500
Pd: 0.1116 0.1394 0.5000

---

No. 8
Structure and simulated powder diffraction line list of Nd4CdSi3O13 (DFT lattice parameters and positions (PBE); Cu Kα (weighted mean of Kα1 and Kα2)).
No peak broadening, texture or thermal motion is included.

Top 10 peaks for 2θ from 10° to 90°, low angle first:
two_theta	I/Imax	index
21.2	298	2 0 0
22.4	260	1 1 1
27.6	386	1 0 2
28.2	389	1 2 0
31.0	1000	1 2 1
31.5	547	1 1 2
32.1	311	3 0 0
45.6	306	2 2 2
48.4	332	1 2 3
50.8	293	4 0 2

Structural model:
Lattice parameters (Å, degrees): 9.6564 9.6564 7.0148 90.00 90.00 120.00
Space group P6_3 (No. 173)
Symmetry-distinct sites (fractional):
Nd: 0.0076 0.7667 0.0000
Nd: 0.3333 0.6667 0.7478
Cd: 0.3333 0.6667 0.2447
Si: 0.0290 0.6276 0.5008
O: 0.0000 0.0000 0.0156
O: 0.0753 0.7554 0.3235
O: 0.0989 0.7427 0.6916
O: 0.1288 0.5304 0.4901
O: 0.1650 0.4896 0.0054

---

No. 9
Structure and simulated powder diffraction line list of LiSiBiO4 (DFT lattice parameters and positions (PBE); Cu Kα (weighted mean of Kα1 and Kα2)).
No peak broadening, texture or thermal motion is included.

Top 10 peaks for 2θ from 10° to 90°, low angle first:
two_theta	I/Imax	index
11.0	1000	1 0 1
21.5	263	2 1 1
22.7	264	3 0 0
25.7	522	1 2 2
28.5	490	1 3 1
33.3	362	3 0 3
34.9	310	4 1 0
35.9	262	4 -2 3
41.4	214	0 1 5
54.6	299	2 5 3

Structural model:
Lattice parameters (Å, degrees): 13.5951 13.5951 11.0840 90.00 90.00 120.00
Space group R-3 (No. 148, hexagonal axes)
Symmetry-distinct sites (fractional):
Li: 0.0324 0.8140 0.2782
Si: 0.0217 0.8112 0.5654
Bi: 0.0521 0.8484 0.8922
O: 0.0060 0.6847 0.5640
O: 0.0561 0.8891 0.1092
O: 0.0799 0.8815 0.6880
O: 0.0979 0.8892 0.4471

---

No. 10
Structure and simulated powder diffraction line list of Sc3PbC (DFT lattice parameters and positions (PBE); Cu Kα (weighted mean of Kα1 and Kα2)).
No peak broadening, texture or thermal motion is included.

Top 10 peaks for 2θ from 10° to 90°, low angle first:
two_theta	I/Imax	index
19.4	556	1 0 0
27.6	683	1 1 0
34.0	1000	1 1 1
39.5	560	2 0 0
44.4	314	2 1 0
48.9	301	2 1 1
57.1	367	2 2 0
60.9	165	3 0 0
68.1	389	3 1 1
78.4	162	3 2 1

Structural model:
Lattice parameters (Å, degrees): 4.5646 4.5646 4.5646 90.00 90.00 90.00
Space group Pm-3m (No. 221)
Symmetry-distinct sites (fractional):
Sc: 0.0000 0.0000 0.5000
Pb: 0.5000 0.5000 0.5000
C: 0.0000 0.0000 0.0000